# 1
# ScCd5Hg2
Theoretical X-ray diffraction stick pattern, a wavelength of 1.5418 Å. Input: a cell relaxed with PBE.

Main lines, in order of rising 2θ (2θ from 10° to 80°):
two_theta  d [Å]  intensity  hkl
18.03  4.920  11.5  1 2 0
33.84  2.649  100.0  0 4 1
36.53  2.460  74.5  2 4 0
36.91  2.435  72.8  2 0 1
48.00  1.895  18.3  0 8 0
49.22  1.851  17.3  0 0 2
56.95  1.617  9.6  4 0 0
62.05  1.496  30.2  2 8 1
62.82  1.479  29.6  2 4 2
67.93  1.380  18.1  4 4 1
71.20  1.324  10.9  0 8 2
78.57  1.218  6.9  4 0 2

Crystal structure
Cell lengths 6.466, 15.162, 3.703 Å; angles 90.00, 90.00, 90.00 degrees
Space group Pbam (No. 55)
One atom of each set of equivalent atoms:
Sc (0.000, 0.000, 0.000) x2
Cd (0.000, 0.500, 0.000) x2
Cd (0.027, 0.256, 0.000) x4
Cd (0.235, 0.626, 0.500) x4
Hg (0.221, 0.877, 0.500) x4

=====

# 2
# Pm2DyAg4
Theoretical X-ray diffraction stick pattern, a wavelength of 1.5418 Å. Input: a cell relaxed with PBE.

Main lines, in order of rising 2θ (2θ from 10° to 80°):
two_theta  d [Å]  intensity  hkl
17.89  4.958  10.2  1 0 1
26.60  3.351  33.8  1 0 3
27.26  3.271  9.3  1 1 2
33.35  2.686  79.1  2 0 0
36.61  2.454  100.0  1 1 4
43.16  2.096  18.5  2 1 3
47.89  1.900  28.1  2 2 0
52.64  1.739  10.3  1 0 7
61.75  1.502  41.9  3 1 4
63.76  1.460  11.6  2 1 7
70.05  1.343  8.8  4 0 0
79.83  1.201  12.2  4 2 0

Crystal structure
Cell lengths 5.373, 5.373, 12.863 Å; angles 90.00, 90.00, 90.00 degrees
Space group I4/mmm (No. 139)
One atom of each set of equivalent atoms:
Pm (0.000, 0.000, 0.221) x4
Dy (0.000, 0.000, 0.500) x2
Ag (0.000, 0.500, 0.115) x8

=====

# 3
# AlGa2Tc2
Theoretical X-ray diffraction stick pattern, a wavelength of 1.5418 Å. Input: a cell relaxed with PBE.

Main lines, in order of rising 2θ (2θ from 10° to 80°):
two_theta  d [Å]  intensity  hkl
18.68  4.749  21.6  1 1 0
26.54  3.358  9.6  2 0 0
38.37  2.346  12.8  2 0 1
40.74  2.215  100.0  2 1 1
42.57  2.124  27.6  3 1 0
48.90  1.863  4.1  3 2 0
54.66  1.679  6.9  4 0 0
56.09  1.640  10.1  0 0 2
56.49  1.629  5.4  4 1 0
58.29  1.583  9.0  3 3 0
63.80  1.459  11.6  4 1 1
72.88  1.298  10.7  3 1 2

Crystal structure
Cell lengths 6.716, 6.716, 3.279 Å; angles 90.00, 90.00, 90.00 degrees
Space group P4/mbm (No. 127)
One atom of each set of equivalent atoms:
Al (0.000, 0.000, 0.000) x2
Ga (0.131, 0.369, 0.000) x4
Tc (0.169, 0.669, 0.500) x4

=====

# 4
# Rb3Cu2PdCl6
Theoretical X-ray diffraction stick pattern, a wavelength of 1.5418 Å. Input: a cell relaxed with PBE.

Main lines, in order of rising 2θ (2θ from 10° to 80°):
two_theta  d [Å]  intensity  hkl
10.52  8.410  45.0  0 0 1
13.74  6.444  14.8  1 0 0
23.92  3.720  100.0  1 1 0
25.29  3.521  69.9  0 1 2
29.69  3.009  25.0  0 2 1
34.90  2.571  13.6  0 1 3
35.09  2.557  76.1  2 0 2
42.07  2.148  22.4  3 0 0
42.91  2.107  37.9  1 2 2
48.97  1.860  36.9  2 2 0
55.90  1.645  15.6  3 1 2
61.67  1.504  16.1  0 4 2

Crystal structure
Cell lengths 7.4404, 7.4404, 8.4097 Å; angles 90.00, 90.00, 120.00 degrees
Space group P-3m1 (No. 164)
One atom of each set of equivalent atoms:
Rb (0.0000, 0.0000, 0.0000) x1
Rb (0.3333, 0.6667, 0.6647) x2
Cu (0.3333, 0.6667, 0.2715) x2
Pd (0.0000, 0.0000, 0.5000) x1
Cl (0.1620, 0.3240, 0.2960) x6

=====

# 5
# Ce3TiAlS7
Theoretical X-ray diffraction stick pattern, a wavelength of 1.5418 Å. Input: a cell relaxed with PBE.

Main lines, in order of rising 2θ (2θ from 10° to 80°):
two_theta  d [Å]  intensity  hkl
17.64  5.027  43.9  1 0 1
22.93  3.878  22.9  1 1 1
25.18  3.536  100.0  2 0 1
27.38  3.257  31.5  1 2 0
34.42  2.606  41.3  3 0 1
35.72  2.513  38.7  2 0 2
36.10  2.488  36.4  2 2 0
40.20  2.243  36.2  1 2 2
40.46  2.230  31.4  3 1 1
48.35  1.882  23.7  3 2 1
48.95  1.861  24.6  2 0 3
50.74  1.799  24.9  1 4 1

Crystal structure
Cell lengths 9.9512, 9.9512, 6.1887 Å; angles 90.00, 90.00, 120.00 degrees
Space group P6_3 (No. 173)
One atom of each set of equivalent atoms:
Ce (0.1498, 0.3756, 0.0000) x6
Ti (0.0000, 0.0000, 0.3306) x2
Al (0.3333, 0.6667, 0.4230) x2
S (0.0952, 0.2311, 0.5803) x6
S (0.0947, 0.5736, 0.2776) x6
S (0.3333, 0.6667, 0.7848) x2

=====

# 6
# SmEr2Tm7
Theoretical X-ray diffraction stick pattern, a wavelength of 1.5418 Å. Input: a cell relaxed with PBE.

Main lines, in order of rising 2θ (2θ from 10° to 80°):
two_theta  d [Å]  intensity  hkl
31.27  2.861  100.0  2 0 1
36.26  2.477  50.6  2 2 0
52.17  1.753  18.0  1 4 1
52.26  1.750  17.9  3 2 3
62.01  1.497  3.6  1 -4 0
62.12  1.494  24.9  3 4 2
62.19  1.493  14.2  4 2 1
65.11  1.433  3.1  0 4 -2
65.25  1.430  6.1  4 0 2
65.31  1.429  3.1  2 0 -4
76.96  1.239  3.8  4 4 0
77.02  1.238  1.9  2 0 6

Crystal structure
Cell lengths 6.063, 7.017, 7.827 Å; angles 77.14, 75.02, 73.28 degrees
Space group P-1 (No. 2)
One atom of each set of equivalent atoms:
Sm (0.000, 0.000, 0.000) x1
Er (0.200, 0.300, 0.600) x2
Tm (0.000, 0.500, 0.000) x1
Tm (0.201, 0.799, 0.600) x2
Tm (0.400, 0.100, 0.201) x2
Tm (0.401, 0.599, 0.201) x2